[1]
The following is a simulated powder diffractogram of Ba3ZrF10. It was derived from the GGA-PBE geometry in Alexandria, using copper Kα.

Atomic structure:
a = 8.7591 Å, b = 8.7591 Å, c = 6.1948 Å
α = 90.00°, β = 90.00°, γ = 100.99°
Atoms (fractional coordinates):
Ba 0.1105 0.8895 0.7500
Ba 0.1744 0.3971 0.7500
Ba 0.3971 0.1744 0.2500
Ba 0.6029 0.8256 0.7500
Ba 0.8256 0.6029 0.2500
Ba 0.8895 0.1105 0.2500
Zr 0.3192 0.6808 0.2500
Zr 0.6808 0.3192 0.7500
F 0.1133 0.6527 0.0403
F 0.1133 0.6527 0.4597
F 0.1392 0.1392 0.0000
F 0.1392 0.1392 0.5000
F 0.2449 0.4346 0.2500
F 0.3473 0.8867 0.0403
F 0.3473 0.8867 0.4597
F 0.3961 0.6039 0.5419
F 0.3961 0.6039 0.9581
F 0.4346 0.2449 0.7500
F 0.5654 0.7551 0.2500
F 0.6039 0.3961 0.0419
F 0.6039 0.3961 0.4581
F 0.6527 0.1133 0.5403
F 0.6527 0.1133 0.9597
F 0.7551 0.5654 0.7500
F 0.8608 0.8608 0.0000
F 0.8608 0.8608 0.5000
F 0.8867 0.3473 0.5403
F 0.8867 0.3473 0.9597

Peak list (12 most intense, 15° ≤ 2θ ≤ 90°, by intensity)
Position (°2θ)	d/Å	I_rel
25.21	3.532	100
39.47	2.283	21
25.72	3.463	21
48.93	1.861	19
28.82	3.098	17
43.69	2.072	17
38.42	2.343	16
26.38	3.379	15
41.31	2.186	14
51.14	1.786	13
42.03	2.150	13
47.84	1.901	11

[2]
The following is a simulated powder diffractogram of CeTh4Bi5. It was derived from the GGA-PBE geometry in Alexandria, using copper Kα.

Atomic structure:
a = 12.1878 Å, b = 12.1878 Å, c = 12.1878 Å
α = 158.28°, β = 149.07°, γ = 38.11°
Atoms (fractional coordinates):
Ce 0.0000 0.0000 0.0000
Th 0.2000 0.2000 0.0000
Th 0.4002 0.4002 0.0000
Th 0.5998 0.5998 0.0000
Th 0.8000 0.8000 0.0000
Bi 0.0996 0.5996 0.5000
Bi 0.3001 0.8001 0.5000
Bi 0.5000 0.0000 0.5000
Bi 0.6999 0.1999 0.5000
Bi 0.9004 0.4004 0.5000

Peak list (12 most intense, 15° ≤ 2θ ≤ 90°, by intensity)
Position (°2θ)	d/Å	I_rel
27.43	3.252	100
39.17	2.300	66
64.05	1.454	32
48.43	1.879	15
48.54	1.876	15
70.93	1.329	14
71.07	1.326	14
56.60	1.626	14
39.22	2.297	13
63.91	1.457	6
84.23	1.150	6
84.01	1.152	2

[3]
The following is a simulated powder diffractogram of Mg9Si5. It was derived from the GGA-PBE geometry in Alexandria, using copper Kα.

Atomic structure:
a = 12.9719 Å, b = 12.9719 Å, c = 12.9719 Å
α = 32.16°, β = 32.16°, γ = 32.16°
Atoms (fractional coordinates):
Mg 0.0000 0.2530 0.7470
Mg 0.0543 0.4287 0.8546
Mg 0.1194 0.6428 0.4051
Mg 0.1454 0.5713 0.9457
Mg 0.2429 0.7571 0.5000
Mg 0.2530 0.7470 0.0000
Mg 0.3572 0.8806 0.5949
Mg 0.4051 0.1194 0.6428
Mg 0.4287 0.8546 0.0543
Mg 0.5000 0.2429 0.7571
Mg 0.5713 0.9457 0.1454
Mg 0.5949 0.3572 0.8806
Mg 0.6428 0.4051 0.1194
Mg 0.7470 0.0000 0.2530
Mg 0.7571 0.5000 0.2429
Mg 0.8546 0.0543 0.4287
Mg 0.8806 0.5949 0.3572
Mg 0.9457 0.1454 0.5713
Si 0.0577 0.0577 0.0577
Si 0.1692 0.1692 0.1692
Si 0.2659 0.2659 0.2659
Si 0.3333 0.3333 0.3333
Si 0.4444 0.4444 0.4444
Si 0.5556 0.5556 0.5556
Si 0.6667 0.6667 0.6667
Si 0.7341 0.7341 0.7341
Si 0.8308 0.8308 0.8308
Si 0.9423 0.9423 0.9423

Peak list (12 most intense, 15° ≤ 2θ ≤ 90°, by intensity)
Position (°2θ)	d/Å	I_rel
33.16	2.701	100
43.63	2.074	52
37.83	2.378	44
34.79	2.579	41
38.34	2.347	39
44.22	2.048	33
63.86	1.458	26
45.75	1.983	23
43.18	2.095	19
38.57	2.334	14
70.76	1.331	14
24.78	3.593	13

[4]
The following is a simulated powder diffractogram of Gd2C3. It was derived from the GGA-PBE geometry in Alexandria, using copper Kα.

Atomic structure:
a = 7.2294 Å, b = 7.2294 Å, c = 7.2294 Å
α = 109.47°, β = 109.47°, γ = 109.47°
Atoms (fractional coordinates):
Gd 0.0000 0.1019 0.5000
Gd 0.0000 0.6019 0.5000
Gd 0.1019 0.5000 0.0000
Gd 0.3981 0.3981 0.3981
Gd 0.5000 0.0000 0.1019
Gd 0.5000 0.0000 0.6019
Gd 0.6019 0.5000 0.0000
Gd 0.8981 0.8981 0.8981
C 0.0448 0.7948 0.2500
C 0.2052 0.9552 0.2500
C 0.2500 0.0448 0.7948
C 0.2500 0.2052 0.9552
C 0.2948 0.5448 0.7500
C 0.4552 0.7052 0.7500
C 0.5448 0.7500 0.2948
C 0.7052 0.7500 0.4552
C 0.7500 0.2948 0.5448
C 0.7500 0.4552 0.7052
C 0.7948 0.2500 0.0448
C 0.9552 0.2500 0.2052

Peak list (12 most intense, 15° ≤ 2θ ≤ 90°, by intensity)
Position (°2θ)	d/Å	I_rel
33.96	2.640	100
30.28	2.951	99
56.18	1.637	66
40.43	2.231	52
26.15	3.408	48
60.77	1.524	28
51.34	1.780	28
85.47	1.136	20
73.52	1.288	19
87.43	1.116	17
53.80	1.704	16
69.40	1.354	12

[5]
The following is a simulated powder diffractogram of Ho4In2Ir. It was derived from the GGA-PBE geometry in Alexandria, using copper Kα.

Atomic structure:
a = 6.4528 Å, b = 3.7247 Å, c = 9.0186 Å
α = 90.00°, β = 110.46°, γ = 90.00°
Atoms (fractional coordinates):
Ho 0.1220 0.0000 0.2496
Ho 0.3311 0.5000 0.6485
Ho 0.6689 0.5000 0.3515
Ho 0.8780 0.0000 0.7504
In 0.2661 0.5000 0.9980
In 0.7339 0.5000 0.0020
Ir 0.5000 0.0000 0.5000

Peak list (12 most intense, 15° ≤ 2θ ≤ 90°, by intensity)
Position (°2θ)	d/Å	I_rel
32.03	2.794	100
28.18	3.167	92
29.73	3.005	54
34.84	2.575	52
40.14	2.247	50
35.15	2.553	44
38.49	2.339	44
38.35	2.347	38
51.56	1.773	32
48.91	1.862	31
57.10	1.613	20
31.91	2.805	20

[6]
The following is a simulated powder diffractogram of CuMoP2Cl. It was derived from the GGA-PBE geometry in Alexandria, using copper Kα.

Atomic structure:
a = 4.6564 Å, b = 4.6564 Å, c = 4.9487 Å
α = 90.00°, β = 90.00°, γ = 90.00°
Atoms (fractional coordinates):
Cu 0.0000 0.0000 0.0000
Mo 0.5000 0.5000 0.5000
P 0.0000 0.5000 0.5000
P 0.5000 0.0000 0.5000
Cl 0.5000 0.5000 0.0000

Peak list (12 most intense, 15° ≤ 2θ ≤ 90°, by intensity)
Position (°2θ)	d/Å	I_rel
26.28	3.391	100
38.67	2.328	72
27.08	3.293	54
54.09	1.696	51
36.31	2.474	43
47.36	1.919	40
19.06	4.656	30
45.88	1.978	25
68.45	1.371	24
55.85	1.646	23
32.67	2.741	16
17.92	4.949	12